# 1
This entry pairs a crystal structure of Nb9P2O25 with its computed powder diffractogram. Radiation: Cu Kα (λ = 1.5418 Å). Structure: DFT lattice parameters and positions (PBE).
Neutral-atom scattering factors, no anomalous dispersion.

Main lines, low angle first (10 to 90 degrees two-theta):
Position (°2θ)	d/Å	I_rel
17.29	5.129	23
23.52	3.782	46
24.55	3.627	100
25.99	3.428	19
30.38	2.942	26
32.37	2.766	27
34.99	2.564	21
42.45	2.130	20

Structural model:
```
Nb9P2O25
1.0
-8.109 8.109 1.945
8.109 -8.109 1.945
8.109 8.109 -1.945
Nb P O
9 2 25
direct
0.000 0.000 0.000
0.099 0.780 0.879
0.123 0.316 0.439
0.220 0.099 0.319
0.316 0.877 0.193
0.684 0.123 0.807
0.780 0.901 0.681
0.877 0.684 0.561
0.901 0.220 0.121
0.250 0.750 0.500
0.750 0.250 0.500
0.014 0.279 0.294
0.052 0.884 0.935
0.083 0.443 0.527
0.116 0.052 0.168
0.159 0.646 0.805
0.178 0.213 0.391
0.213 0.822 0.035
0.250 0.387 0.637
0.279 0.986 0.265
0.354 0.159 0.512
0.387 0.750 0.137
0.443 0.917 0.360
0.500 0.500 0.000
0.557 0.083 0.640
0.613 0.250 0.863
0.646 0.841 0.488
0.721 0.014 0.735
0.750 0.613 0.363
0.787 0.178 0.965
0.822 0.787 0.609
0.841 0.354 0.195
0.884 0.948 0.832
0.917 0.557 0.473
0.948 0.116 0.065
0.986 0.721 0.706
```


# 2
This entry pairs a crystal structure of Ba2MgTi2S6 with its computed powder diffractogram. Radiation: Cu Kα (λ = 1.5418 Å). Structure: DFT lattice parameters and positions (PBE).
Neutral-atom scattering factors, no anomalous dispersion.

Main lines, low angle first (10 to 90 degrees two-theta):
Position (°2θ)	d/Å	I_rel
13.87	6.385	51
25.52	3.491	69
26.05	3.421	62
30.65	2.917	74
31.55	2.836	92
33.31	2.689	62
35.90	2.501	100
37.59	2.393	54

Structural model:
```
Ba2MgTi2S6
1.0
6.730 -3.421 0.000
6.730 3.421 0.000
-1.858 0.000 5.579
Ba Mg Ti S
2 1 2 6
direct
0.000 0.000 0.000
0.233 0.233 0.649
0.396 0.396 0.274
0.634 0.634 0.813
0.635 0.635 0.304
0.295 0.776 0.493
0.460 0.973 0.122
0.469 0.469 0.941
0.776 0.295 0.493
0.778 0.778 0.661
0.973 0.460 0.122
```


# 3
This entry pairs a crystal structure of Ca2H2S2O9 with its computed powder diffractogram. Radiation: Cu Kα (λ = 1.5418 Å). Structure: DFT lattice parameters and positions (PBE).
Neutral-atom scattering factors, no anomalous dispersion.

Main lines, low angle first (10 to 90 degrees two-theta):
Position (°2θ)	d/Å	I_rel
14.30	6.195	88
24.89	3.577	27
28.82	3.098	100
31.72	2.821	76
32.17	2.783	15
48.34	1.883	53
52.93	1.730	25
71.97	1.312	13

Structural model:
```
Ca2H2S2O9
1.0
8.859 -3.575 0.000
8.859 3.575 0.000
-8.663 0.000 8.866
Ca H S O
6 6 6 27
direct
0.000 0.000 0.000
0.087 0.583 0.583
0.417 0.913 0.417
0.540 0.460 0.500
0.571 0.092 0.068
0.908 0.429 0.932
0.008 0.660 0.375
0.149 0.184 0.561
0.340 0.992 0.625
0.355 0.643 0.063
0.357 0.645 0.937
0.816 0.851 0.439
0.149 0.682 0.189
0.300 0.202 0.250
0.318 0.851 0.811
0.648 0.187 0.689
0.798 0.700 0.750
0.813 0.352 0.311
0.045 0.271 0.410
0.104 0.252 0.114
0.183 0.800 0.174
0.200 0.817 0.826
0.205 0.129 0.633
0.220 0.085 0.859
0.232 0.454 0.085
0.260 0.393 0.391
0.267 0.696 0.348
0.304 0.733 0.652
0.348 0.019 0.254
0.417 0.286 0.646
0.436 0.564 0.000
0.482 0.154 0.245
0.546 0.768 0.915
0.607 0.740 0.609
0.688 0.292 0.668
0.708 0.312 0.332
0.714 0.583 0.354
0.729 0.955 0.590
0.748 0.896 0.886
0.765 0.209 0.851
0.791 0.235 0.149
0.846 0.518 0.755
0.871 0.795 0.367
0.915 0.780 0.141
0.981 0.652 0.746
```